Tl2Mo9S11: simulated PXRD pattern (Cu Kα), based on a cell relaxed with PBE.

Most intense lines, 2θ = 10–90°, by angle:
(hkl)  Position (°2θ)  I/Imax
0 1 2  11.94  46
1 1 0  18.85  100
2 0 2  22.38  35
3 -2 2  29.42  78
1 1 9  29.52  49
2 1 7  34.03  38
4 -1 2  40.22  58
1 0 16  42.16  39
1 3 7  43.83  36
4 -2 9  44.83  80

Crystal structure
```
data_Tl2Mo9S11
_chemical_formula_sum 'Tl12 Mo54 S66'
_cell_length_a 9.4143
_cell_length_b 9.4143
_cell_length_c 35.5484
_cell_angle_alpha 90.00
_cell_angle_beta 90.00
_cell_angle_gamma 120.00
_symmetry_space_group_name_H-M 'R -3'
_symmetry_Int_Tables_number 148
_symmetry_space_group_name_Hall '-R 3'
loop_
_atom_site_label
_atom_site_type_symbol
_atom_site_fract_x
_atom_site_fract_y
_atom_site_fract_z
_atom_site_occupancy
Tl1 Tl 0.0000 0.0000 0.1669 1
Tl2 Tl 0.0000 0.0000 0.2700 1
Mo1 Mo 0.0113 0.8403 0.4691 1
Mo2 Mo 0.0140 0.8400 0.0327 1
Mo3 Mo 0.0150 0.8432 0.5957 1
S1 S 0.0000 0.0000 0.0844 1
S2 S 0.0000 0.0000 0.3526 1
S3 S 0.0192 0.6375 0.6400 1
S4 S 0.0193 0.6398 0.0774 1
S5 S 0.0192 0.6464 0.1988 1
```